Simulated PXRD pattern
Compound: PrHo5Sc
Radiation: Cu Kα (λ = 1.5418 Å)
Structure: a structure optimized by DFT (PBE)

Top 12 peaks for 10 to 90 degrees two-theta, in order of rising 2θ:
2θ (°)	Rel. int.	h k l
26.33	26	1 0 -4
29.89	22	3 0 -2
31.16	71	1 1 2
31.88	38	2 1 -1
32.12	100	3 0 1
32.22	37	0 1 3
32.38	52	1 1 -3
33.07	41	2 1 -2
33.57	25	0 0 5
35.55	23	3 0 -4
51.37	24	0 2 0
61.89	21	3 2 1

Cell and atoms:
```
PrHo5Sc
1.0
9.202 0.000 0.000
0.000 3.557 0.000
-3.061 0.000 13.346
Pr Ho Sc
2 10 2
direct
0.111 0.250 0.135 Pr
0.889 0.750 0.865 Pr
0.007 0.750 0.374 Ho
0.205 0.250 0.883 Ho
0.331 0.250 0.507 Ho
0.349 0.750 0.720 Ho
0.419 0.750 0.083 Ho
0.581 0.250 0.917 Ho
0.651 0.250 0.280 Ho
0.669 0.750 0.493 Ho
0.795 0.750 0.117 Ho
0.993 0.250 0.626 Ho
0.353 0.750 0.308 Sc
0.647 0.250 0.692 Sc
```